Starting from a cell relaxed with GGA-PBE, the powder diffractogram of Hf2MgAl2Rh5 was simulated for Cu Ka.
No peak broadening, texture or thermal motion is included.

Largest 8 diffraction maxima, sorted by position, 2θ = 5–70°:
two_theta	I_rel
31.99	25
33.35	86
38.53	91
39.53	100
39.70	31
42.88	38
53.32	24
67.69	35

```
data_Hf2MgAl2Rh5
_chemical_formula_sum 'Hf4 Mg2 Al4 Rh10'
_space_group_name_H-M_alt 'P 4/m b m'
_space_group_IT_number 127
_space_group_name_Hall '-P 4 2ab'
_cell_length_a 9.6327
_cell_length_b 9.6327
_cell_length_c 3.4364
_cell_angle_alpha 90.00
_cell_angle_beta 90.00
_cell_angle_gamma 90.00
loop_
_atom_site_label
_atom_site_fract_x
_atom_site_fract_y
_atom_site_fract_z
Hf1 0.1756 0.3244 0.0000
Mg1 0.0000 0.0000 0.0000
Al1 0.1241 0.6241 0.0000
Rh1 0.0000 0.5000 0.5000
Rh2 0.0745 0.7948 0.5000
```

Starting from a cell relaxed with GGA-PBE, the powder diffractogram of Ho2S3O12 was simulated for Cu Ka.
No peak broadening, texture or thermal motion is included.

Largest 8 diffraction maxima, sorted by position, 2θ = 5–70°:
two_theta	I_rel
13.35	40
18.62	100
19.22	81
22.29	38
26.89	62
29.74	57
33.26	41
33.62	34

```
data_Ho2S3O12
_chemical_formula_sum 'Ho12 S18 O72'
_space_group_name_H-M_alt 'R -3 c'
_space_group_IT_number 167
_space_group_name_Hall '-R 3 2"c'
_cell_length_a 9.2345
_cell_length_b 9.2345
_cell_length_c 23.7391
_cell_angle_alpha 90.00
_cell_angle_beta 90.00
_cell_angle_gamma 120.00
loop_
_atom_site_label
_atom_site_fract_x
_atom_site_fract_y
_atom_site_fract_z
Ho1 0.0000 0.0000 0.1432
S1 0.0000 0.2847 0.2500
O1 0.0271 0.2066 0.1996
O2 0.0304 0.2146 0.9083
```

Starting from a cell relaxed with GGA-PBE, the powder diffractogram of Ce10Bi3Pb3 was simulated for Cu Ka.
No peak broadening, texture or thermal motion is included.

Largest 8 diffraction maxima, sorted by position, 2θ = 5–70°:
two_theta	I_rel
27.52	26
28.65	21
31.87	100
32.59	66
33.45	82
41.90	24
47.40	20
51.47	26

```
data_Ce10Bi3Pb3
_chemical_formula_sum 'Ce10 Bi3 Pb3'
_space_group_name_H-M_alt 'P -6 2 m'
_space_group_IT_number 189
_space_group_name_Hall 'P -6 -2'
_cell_length_a 9.5182
_cell_length_b 9.5182
_cell_length_c 6.4821
_cell_angle_alpha 90.00
_cell_angle_beta 90.00
_cell_angle_gamma 120.00
loop_
_atom_site_label
_atom_site_fract_x
_atom_site_fract_y
_atom_site_fract_z
Ce1 0.0000 0.2516 0.0000
Ce2 0.0000 0.7480 0.5000
Ce3 0.3333 0.6667 0.2484
Bi1 0.0000 0.3856 0.5000
Pb1 0.0000 0.6148 0.0000
```